Starting from a DFT-relaxed cell (GGA-PBE, Alexandria), the X-ray diffraction stick pattern of Ba2PbSe3 was simulated for copper Kα.
Peak positions follow from Bragg's law for the DFT cell and can differ from measured ones.

Structural model:
Cell: 8.003 8.003 8.003 Å, 146.49 131.77 60.01°
Element x y z (fractional)
Ba  0.166  0.166  0.000
Ba  0.834  0.834  0.000
Pb  0.500  0.500  0.000
Se  0.000  0.500  0.500
Se  0.341  0.841  0.500
Se  0.659  0.159  0.500

Top 10 peaks for 10 to 80 degrees two-theta, by angle:
- 3.772 Å, rel. 19.4
- 3.267 Å, rel. 100.0
- 2.310 Å, rel. 77.0
- 1.970 Å, rel. 10.6
- 1.886 Å, rel. 27.7
- 1.633 Å, rel. 13.1
- 1.462 Å, rel. 12.3
- 1.460 Å, rel. 23.9
- 1.334 Å, rel. 17.7
- 1.333 Å, rel. 9.0

=====

Starting from a DFT-relaxed cell (GGA-PBE, Alexandria), the X-ray diffraction stick pattern of BaPb2Se3 was simulated for copper Kα.
Peak positions follow from Bragg's law for the DFT cell and can differ from measured ones.

Structural model:
Cell: 4.251 11.644 7.805 Å, 90.00 90.00 90.00°
Element x y z (fractional)
Ba  0.000  0.136  0.000
Ba  0.000  0.864  0.500
Pb  0.000  0.194  0.486
Pb  0.000  0.806  0.986
Pb  0.500  0.499  0.511
Pb  0.500  0.501  0.011
Se  0.000  0.383  0.720
Se  0.000  0.617  0.220
Se  0.500  0.058  0.690
Se  0.500  0.295  0.228
Se  0.500  0.705  0.728
Se  0.500  0.942  0.190

Top 10 peaks for 10 to 80 degrees two-theta, by angle:
- 3.993 Å, rel. 37.3
- 3.902 Å, rel. 33.0
- 3.881 Å, rel. 34.0
- 3.433 Å, rel. 55.4
- 2.791 Å, rel. 100.0
- 2.752 Å, rel. 91.9
- 2.578 Å, rel. 65.4
- 2.126 Å, rel. 34.9
- 2.043 Å, rel. 35.8
- 1.682 Å, rel. 42.8

=====

Starting from a DFT-relaxed cell (GGA-PBE, Alexandria), the X-ray diffraction stick pattern of Ba6Si2Pb was simulated for copper Kα.
Peak positions follow from Bragg's law for the DFT cell and can differ from measured ones.

Structural model:
Cell: 9.994 9.994 9.994 Å, 112.64 108.72 107.11°
Element x y z (fractional)
Ba  0.016  0.224  0.792
Ba  0.182  0.287  0.469
Ba  0.182  0.713  0.896
Ba  0.322  0.022  0.700
Ba  0.322  0.622  0.300
Ba  0.431  0.224  0.208
Ba  0.569  0.776  0.792
Ba  0.678  0.378  0.700
Ba  0.678  0.978  0.300
Ba  0.818  0.287  0.104
Ba  0.818  0.713  0.531
Ba  0.984  0.776  0.208
Si  0.103  0.603  0.500
Si  0.392  0.000  0.392
Si  0.608  0.000  0.608
Si  0.897  0.397  0.500
Pb  0.000  0.000  0.000
Pb  0.500  0.500  0.000

Top 10 peaks for 10 to 80 degrees two-theta, by angle:
- 3.690 Å, rel. 16.2
- 3.522 Å, rel. 29.8
- 3.326 Å, rel. 100.0
- 3.118 Å, rel. 40.0
- 3.104 Å, rel. 22.3
- 3.072 Å, rel. 16.4
- 2.771 Å, rel. 18.0
- 2.026 Å, rel. 16.3
- 1.888 Å, rel. 16.6
- 1.831 Å, rel. 22.1